Simulated powder diffraction line list
Compound: HoNp3
Radiation: Cu Kα
Structure: a DFT-relaxed cell (GGA-PBE, the Materials Project)
No peak broadening, texture or thermal motion is included.

Largest 8 diffraction maxima, in order of falling intensity, 10 to 90 degrees two-theta:
index, d/Å, I (rel.)
1 1 1, 2.678, 1000
2 0 0, 2.319, 505
3 1 1, 1.399, 422
2 2 0, 1.640, 355
2 2 2, 1.339, 122
4 0 0, 1.160, 59
1 0 0, 4.639, 17
1 1 0, 3.280, 16

Structural model:
Lattice parameters (Å, degrees): 4.6387 4.6387 4.6387 90.00 90.00 90.00
Space group Pm-3m (No. 221)
Unique sites:
Ho 0.0000 0.0000 0.0000
Np 0.0000 0.5000 0.5000